This entry pairs a crystal structure of F with its calculated powder diffractogram. Radiation: Cu Kα (weighted mean of Kα1 and Kα2). Structure: DFT lattice parameters and positions (PBE).

Peak list (10 most intense, 5° ≤ 2θ ≤ 70°, by angle)
hkl 0 0 2, 2θ 30.46, intensity 92; hkl 2 0 0, 2θ 32.14, intensity 100; hkl 2 0 -2, 2θ 38.94, intensity 48; hkl 1 1 -2, 2θ 41.62, intensity 15; hkl 1 1 2, 2θ 47.27, intensity 15; hkl 2 0 2, 2θ 50.24, intensity 15; hkl 0 2 0, 2θ 56.11, intensity 13; hkl 0 2 2, 2θ 65.19, intensity 11; hkl 2 2 0, 2θ 66.15, intensity 15; hkl 4 0 -2, 2θ 67.22, intensity 13

Crystal structure
```
data_F
_cell_length_a 5.7344
_cell_length_b 3.2784
_cell_length_c 6.0415
_cell_angle_alpha 90.00
_cell_angle_beta 103.74
_cell_angle_gamma 90.00
_symmetry_space_group_name_H-M 'C 1 2/c 1'
_symmetry_Int_Tables_number 15
_symmetry_space_group_name_Hall '-C 2yc'
loop_
_atom_site_label
_atom_site_type_symbol
_atom_site_fract_x
_atom_site_fract_y
_atom_site_fract_z
F1 F 0.2400 0.0272 0.2105
```